Record 1
This entry pairs a crystal structure of PmMg16Al12 with its theoretical powder XRD pattern. Radiation: λ = 1.5418 Å (Cu Kα). Structure: a structure optimized by DFT (PBE).
No peak broadening, texture or thermal motion is included.

Largest 10 diffraction maxima, in order of rising 2θ, 2θ = 10–90°:
2θ (°)	I_rel
11.84	37.0
20.58	17.8
26.67	11.3
31.67	20.9
36.05	100.0
40.01	20.6
41.87	16.0
47.09	9.1
62.09	14.2
64.81	27.8

Unit cell a=9.1543 b=9.1543 c=9.1543 alpha=109.47 beta=109.47 gamma=109.47
Fractional positions:
Pm  0.0000  0.0000  0.0000
Mg  0.0000  0.0000  0.6389
Mg  0.0000  0.3971  0.6806
Mg  0.0000  0.6389  0.0000
Mg  0.0000  0.6806  0.3971
Mg  0.2835  0.6029  0.6029
Mg  0.3194  0.3194  0.7165
Mg  0.3194  0.7165  0.3194
Mg  0.3611  0.3611  0.3611
Mg  0.3971  0.0000  0.6806
Mg  0.3971  0.6806  0.0000
Mg  0.6029  0.2835  0.6029
Mg  0.6029  0.6029  0.2835
Mg  0.6389  0.0000  0.0000
Mg  0.6806  0.0000  0.3971
Mg  0.6806  0.3971  0.0000
Mg  0.7165  0.3194  0.3194
Al  0.0000  0.1868  0.3701
Al  0.0000  0.3701  0.1868
Al  0.1833  0.8132  0.8132
Al  0.1868  0.0000  0.3701
Al  0.1868  0.3701  0.0000
Al  0.3701  0.0000  0.1868
Al  0.3701  0.1868  0.0000
Al  0.6299  0.6299  0.8167
Al  0.6299  0.8167  0.6299
Al  0.8132  0.1833  0.8132
Al  0.8132  0.8132  0.1833
Al  0.8167  0.6299  0.6299



Record 2
This entry pairs a crystal structure of GaSiHSN with its theoretical powder XRD pattern. Radiation: λ = 1.5418 Å (Cu Kα). Structure: a structure optimized by DFT (PBE).
No peak broadening, texture or thermal motion is included.

Largest 10 diffraction maxima, in order of rising 2θ, 2θ = 10–90°:
2θ (°)	I_rel
16.68	79.6
23.26	69.7
33.68	99.0
37.19	100.0
37.49	46.5
43.67	25.4
45.07	39.1
47.53	20.5
56.60	28.6
60.25	19.7

Unit cell a=4.1472 b=3.0804 c=5.6511 alpha=90.00 beta=109.83 gamma=90.00
Fractional positions:
Ga  0.0000  0.0000  0.0000
Si  0.6069  0.5000  0.4983
H  0.2393  0.5000  0.4781
S  0.5297  0.5000  0.0888
N  0.7877  0.0000  0.6286



Record 3
This entry pairs a crystal structure of LiNi3N with its theoretical powder XRD pattern. Radiation: λ = 1.5418 Å (Cu Kα). Structure: a structure optimized by DFT (PBE).
No peak broadening, texture or thermal motion is included.

Largest 10 diffraction maxima, in order of rising 2θ, 2θ = 10–90°:
2θ (°)	I_rel
13.34	70.7
23.28	39.3
27.52	25.7
41.78	95.6
41.90	100.0
47.60	43.2
47.75	14.8
49.10	39.9
49.38	33.9
70.81	32.7

Unit cell a=3.7110 b=4.6350 c=6.9636 alpha=91.61 beta=105.36 gamma=113.52
Fractional positions:
Li  0.1074  0.3483  0.3667
Li  0.8926  0.6517  0.6333
Ni  0.0000  0.5000  0.0000
Ni  0.2811  0.2884  0.7723
Ni  0.3666  0.1124  0.1210
Ni  0.5000  0.0000  0.5000
Ni  0.6334  0.8876  0.8790
Ni  0.7189  0.7116  0.2277
N  0.2571  0.7667  0.2496
N  0.7429  0.2333  0.7504



Please write out number 1 again, unchanged.
This entry pairs a crystal structure of PmMg16Al12 with its theoretical powder XRD pattern. Radiation: λ = 1.5418 Å (Cu Kα). Structure: a structure optimized by DFT (PBE).
No peak broadening, texture or thermal motion is included.

Largest 10 diffraction maxima, in order of rising 2θ, 2θ = 10–90°:
2θ (°)	I_rel
11.84	37.0
20.58	17.8
26.67	11.3
31.67	20.9
36.05	100.0
40.01	20.6
41.87	16.0
47.09	9.1
62.09	14.2
64.81	27.8

Unit cell a=9.1543 b=9.1543 c=9.1543 alpha=109.47 beta=109.47 gamma=109.47
Fractional positions:
Pm  0.0000  0.0000  0.0000
Mg  0.0000  0.0000  0.6389
Mg  0.0000  0.3971  0.6806
Mg  0.0000  0.6389  0.0000
Mg  0.0000  0.6806  0.3971
Mg  0.2835  0.6029  0.6029
Mg  0.3194  0.3194  0.7165
Mg  0.3194  0.7165  0.3194
Mg  0.3611  0.3611  0.3611
Mg  0.3971  0.0000  0.6806
Mg  0.3971  0.6806  0.0000
Mg  0.6029  0.2835  0.6029
Mg  0.6029  0.6029  0.2835
Mg  0.6389  0.0000  0.0000
Mg  0.6806  0.0000  0.3971
Mg  0.6806  0.3971  0.0000
Mg  0.7165  0.3194  0.3194
Al  0.0000  0.1868  0.3701
Al  0.0000  0.3701  0.1868
Al  0.1833  0.8132  0.8132
Al  0.1868  0.0000  0.3701
Al  0.1868  0.3701  0.0000
Al  0.3701  0.0000  0.1868
Al  0.3701  0.1868  0.0000
Al  0.6299  0.6299  0.8167
Al  0.6299  0.8167  0.6299
Al  0.8132  0.1833  0.8132
Al  0.8132  0.8132  0.1833
Al  0.8167  0.6299  0.6299